Simulated powder XRD pattern
Compound: LiPaMo2O8
Radiation: Cu Kα
Structure: a crystal structure in Alexandria, relaxed with GGA+U
Neutral-atom scattering factors, no anomalous dispersion.

```
data_LiPaMo2O8
_chemical_formula_sum 'Li2 Pa2 Mo4 O16'
_space_group_name_H-M_alt 'I -4'
_space_group_IT_number 82
_cell_length_a 5.1826
_cell_length_b 5.1826
_cell_length_c 10.9710
_cell_angle_alpha 90.00
_cell_angle_beta 90.00
_cell_angle_gamma 90.00
loop_
_space_group_symop_operation_xyz
'x,y,z'
'y,-x,-z'
'-x,-y,z'
'-y,x,-z'
'x+1/2,y+1/2,z+1/2'
'y+1/2,-x+1/2,-z+1/2'
'-x+1/2,-y+1/2,z+1/2'
'-y+1/2,x+1/2,-z+1/2'
loop_
_atom_site_label
_atom_site_fract_x
_atom_site_fract_y
_atom_site_fract_z
Li1 0.0000 0.0000 0.0000
Pa1 0.0000 0.5000 0.2500
Mo1 0.0000 0.0000 0.5000
Mo2 0.0000 0.5000 0.7500
O1 0.1968 0.2199 0.4094
O2 0.2028 0.7713 0.8363
```

Main lines, in order of falling intensity (10 to 90 degrees two-theta):
- 29.31°, d = 3.047 Å, I = 100, (1 1 2)
- 18.94°, d = 4.686 Å, I = 40, (1 0 1)
- 48.32°, d = 1.884 Å, I = 33, (2 0 4)
- 58.80°, d = 1.570 Å, I = 28, (1 3 2)
- 16.16°, d = 5.485 Å, I = 27, (0 0 2)
- 24.29°, d = 3.665 Å, I = 19, (1 1 0)
- 34.62°, d = 2.591 Å, I = 17, (2 0 0)
- 49.76°, d = 1.832 Å, I = 17, (2 2 0)
- 56.22°, d = 1.636 Å, I = 16, (1 1 6)
- 29.90°, d = 2.988 Å, I = 13, (1 0 3)